For Dy5Er2Bi5, a PBE-relaxed structure gives the computed powder XRD pattern in this record (λ = 1.5418 Å (Cu Kα)).
Peak positions follow from Bragg's law for the DFT cell and can differ from measured ones.

Main lines, most intense first (5° ≤ 2θ ≤ 70°):
| 2theta | I/Imax |
| --- | --- |
| 31.3 | 100 |
| 28.3 | 88 |
| 30.4 | 45 |
| 40.7 | 40 |
| 40.1 | 34 |
| 23.5 | 33 |

Structure:
Cell lengths 7.629, 7.629, 12.709 Å; angles 111.32, 111.32, 33.75 degrees
Positions (direct):
1 Dy 0.000 0.000 0.000
2 Dy 0.163 0.163 0.530
3 Dy 0.209 0.209 0.834
4 Dy 0.791 0.791 0.166
5 Dy 0.837 0.837 0.470
6 Er 0.449 0.449 0.711
7 Er 0.551 0.551 0.289
8 Bi 0.196 0.196 0.281
9 Bi 0.381 0.381 0.064
10 Bi 0.500 0.500 0.500
11 Bi 0.619 0.619 0.936
12 Bi 0.804 0.804 0.719